Diffraction record for MgNbPO. The powder diffractogram is calculated, not measured: it uses a structure optimized by DFT (GGA-PBE) and copper Kα.

Main lines, by angle (2θ = 10–90°):
2θ 14.0, I = 100; 2θ 30.0, I = 55; 2θ 34.0, I = 35; 2θ 39.0, I = 24; 2θ 41.0, I = 31; 2θ 42.3, I = 33; 2θ 43.5, I = 28; 2θ 50.5, I = 16

Crystal structure
```
MgNbPO
1.0
3.378 0.000 0.000
0.000 6.330 0.000
0.000 0.000 5.803
Mg Nb P O
2 2 2 2
Direct
0.000 0.111 0.000 Mg
0.000 0.889 0.500 Mg
0.500 0.491 0.674 Nb
0.500 0.509 0.174 Nb
0.000 0.284 0.418 P
0.000 0.716 0.918 P
0.500 0.245 0.924 O
0.500 0.755 0.424 O
```